Structure and calculated X-ray powder pattern of Li3MnB2O6 (a PBE+U-relaxed structure; copper Kα).
Neutral-atom scattering factors, no anomalous dispersion.

```
Li3MnB2O6
1.0
5.164 0.000 0.000
-0.107 6.384 0.000
-0.018 -2.634 7.330
Li Mn B O
6 2 4 12
direct
0.118 0.274 0.449
0.196 0.575 0.757
0.323 0.434 0.108
0.677 0.566 0.892
0.804 0.425 0.243
0.882 0.726 0.551
0.417 0.081 0.772
0.583 0.919 0.228
0.138 0.837 0.123
0.337 0.670 0.441
0.663 0.330 0.559
0.862 0.163 0.877
0.117 0.204 0.922
0.147 0.527 0.342
0.230 0.002 0.277
0.275 0.796 0.623
0.339 0.711 0.017
0.422 0.316 0.634
0.578 0.684 0.366
0.661 0.289 0.983
0.725 0.204 0.377
0.770 0.998 0.723
0.853 0.473 0.658
0.883 0.796 0.078
```

Principal peaks in the range 2θ from 10° to 80°, most intense first:
index  2theta  intensity
0 2 -2  31.5  100
0 1 -2  23.8  72
0 1 1  22.1  48
1 0 0  17.2  47
0 1 0  14.7  44
1 -1 1  23.1  31
2 0 -1  36.8  28
1 1 2  37.3  24
1 -1 0  22.5  23
0 0 2  24.3  19